Diffraction record for Na3Sr. The PXRD pattern is computed, not measured: it uses a structure optimized by DFT (PBE) and Cu Kα X-rays.

a = 5.3994 Å, b = 5.3994 Å, c = 11.5785 Å
α = 90.00°, β = 90.00°, γ = 90.00°
Atoms (fractional coordinates):
Na 0.0000 0.0000 0.0000
Na 0.0000 0.5000 0.2500
Na 0.0000 0.5000 0.7500
Na 0.5000 0.0000 0.2500
Na 0.5000 0.0000 0.7500
Na 0.5000 0.5000 0.5000
Sr 0.0000 0.0000 0.5000
Sr 0.5000 0.5000 0.0000

Top 8 peaks for 10° ≤ 2θ ≤ 90°, by angle:
15.30 deg, I = 16.0
18.13 deg, I = 43.6
27.99 deg, I = 100.0
30.89 deg, I = 19.3
33.18 deg, I = 31.8
45.97 deg, I = 24.7
53.18 deg, I = 15.7
56.16 deg, I = 26.4